Diffraction record for LiScW2. The X-ray diffraction stick pattern is computed, not measured: it uses DFT lattice parameters and positions (GGA-PBE) and Cu Kα.

Crystal structure
abc: 6.388 6.388 6.388
angles: 90.00 90.00 90.00
Space group F-43m (No. 216)
Unique sites:
Li  0.000  0.000  0.000 [4 per cell]
Sc  0.250  0.250  0.250 [4 per cell]
W  0.000  0.000  0.500 [4 per cell]
W  0.250  0.250  0.750 [4 per cell]

Principal peaks in the range 10 to 90 degrees two-theta, by angle:
hkl 1 1 1, 24.13°, intensity 71.2; hkl 2 0 0, 27.94°, intensity 1.3; hkl 2 2 0, 39.92°, intensity 100.0; hkl 3 1 1, 47.19°, intensity 37.0; hkl 4 0 0, 57.73°, intensity 17.0; hkl 3 3 1, 63.48°, intensity 15.5; hkl 4 2 2, 72.49°, intensity 34.5; hkl 5 1 1, 77.67°, intensity 11.8; hkl 4 4 0, 86.11°, intensity 11.2